(1)
For Cs4CuP2Au, the PBE geometry in OQMD gives the calculated X-ray powder pattern in this record (Cu Kα X-rays).
No peak broadening, texture or thermal motion is included.

Main lines, in order of falling intensity (10 to 90 degrees two-theta):
hkl, 2theta, d (Å), I (rel.)
1 3 0, 26.94, 3.310, 100
1 3 1, 30.20, 2.960, 93
2 0 1, 26.89, 3.316, 74
0 2 2, 31.50, 2.840, 65
1 1 -2, 30.50, 2.930, 59
1 1 -1, 19.43, 4.569, 38
3 3 2, 51.66, 1.769, 27
3 3 -2, 51.50, 1.775, 26
3 1 0, 36.06, 2.490, 26
0 4 2, 42.70, 2.118, 22

Crystal structure
```
data_Cs4CuP2Au
_space_group_name_H-M_alt 'C 1 2/m 1'
_space_group_IT_number 12
_space_group_name_Hall '-C 2y'
_cell_length_a 7.6703
_cell_length_b 11.0074
_cell_length_c 6.6221
_cell_angle_alpha 90.00
_cell_angle_beta 90.22
_cell_angle_gamma 90.00
loop_
_atom_site_label
_atom_site_fract_x
_atom_site_fract_y
_atom_site_fract_z
Cs1 0.1493 0.1698 0.2492
Cu1 0.0000 0.5000 0.0000
P1 0.2152 0.5000 0.2327
Au1 0.0000 0.5000 0.5000
```


(2)
For Rb5Pt3, the PBE geometry in OQMD gives the calculated X-ray powder pattern in this record (Cu Kα X-rays).
No peak broadening, texture or thermal motion is included.

Main lines, in order of falling intensity (10 to 90 degrees two-theta):
hkl, 2theta, d (Å), I (rel.)
4 1 1, 31.25, 2.862, 100
2 4 0, 29.72, 3.006, 90
3 1 0, 20.93, 4.244, 86
3 2 1, 28.21, 3.164, 66
2 5 1, 39.10, 2.304, 60
2 0 2, 32.81, 2.730, 60
1 8 1, 57.43, 1.605, 43
4 0 2, 40.40, 2.233, 40
4 6 2, 58.35, 1.582, 35
3 3 2, 41.55, 2.174, 25

Crystal structure
```
data_Rb5Pt3
_space_group_name_H-M_alt 'I 4/m'
_space_group_IT_number 87
_space_group_name_Hall '-I 4'
_cell_length_a 13.4430
_cell_length_b 13.4430
_cell_length_c 5.9744
_cell_angle_alpha 90.00
_cell_angle_beta 90.00
_cell_angle_gamma 90.00
loop_
_atom_site_label
_atom_site_fract_x
_atom_site_fract_y
_atom_site_fract_z
Rb1 0.0000 0.5000 0.2500
Rb2 0.0870 0.2143 0.0000
Rb3 0.0897 0.7796 0.5000
Pt1 0.0000 0.0000 0.2770
Pt2 0.1555 0.3451 0.5000
```


(3)
For DyAu6, the PBE geometry in OQMD gives the calculated X-ray powder pattern in this record (Cu Kα X-rays).
No peak broadening, texture or thermal motion is included.

Main lines, in order of falling intensity (10 to 90 degrees two-theta):
hkl, 2theta, d (Å), I (rel.)
3 3 1, 37.78, 2.381, 100
4 1 2, 40.20, 2.244, 80
4 1 1, 36.78, 2.444, 59
3 1 3, 38.85, 2.318, 42
4 0 2, 39.21, 2.298, 26
3 3 0, 36.65, 2.452, 25
2 1 3, 33.52, 2.673, 19
7 2 1, 66.06, 1.414, 19
3 2 3, 41.77, 2.163, 17
1 1 7, 68.17, 1.376, 15

Crystal structure
```
data_DyAu6
_space_group_name_H-M_alt 'P 42/n c m'
_space_group_IT_number 138
_cell_length_a 10.4053
_cell_length_b 10.4053
_cell_length_c 9.7987
_cell_angle_alpha 90.00
_cell_angle_beta 90.00
_cell_angle_gamma 90.00
loop_
_space_group_symop_operation_xyz
'x,y,z'
'-x,-y,-z'
'-y+1/2,x,z+1/2'
'y+1/2,-x,-z+1/2'
'-x+1/2,-y+1/2,z'
'x+1/2,y+1/2,-z'
'y,-x+1/2,z+1/2'
'-y,x+1/2,-z+1/2'
'x+1/2,-y,-z+1/2'
'-x+1/2,y,z+1/2'
'-y,-x,-z'
'y,x,z'
'-x,y+1/2,-z+1/2'
'x,-y+1/2,z+1/2'
'y+1/2,x+1/2,-z'
'-y+1/2,-x+1/2,z'
loop_
_atom_site_label
_atom_site_fract_x
_atom_site_fract_y
_atom_site_fract_z
Dy1 0.0743 0.0743 0.2117
Au1 0.0000 0.0000 0.5000
Au2 0.0134 0.6801 0.5790
Au3 0.1221 0.6990 0.8546
Au4 0.1488 0.1488 0.6782
Au5 0.2500 0.2500 0.4323
```